Pm2MgMoO6: calculated X-ray diffraction stick pattern (Cu Kα (weighted mean of Kα1 and Kα2)), based on the GGA+U geometry in Alexandria.
Lines closer than 0.1° are merged.

Most intense lines, 2θ = 10–80°, most intense first:
- 2.828 Å, rel. 100
- 2.797 Å, rel. 98
- 2.769 Å, rel. 47
- 2.000 Å, rel. 38
- 2.892 Å, rel. 38
- 1.598 Å, rel. 33
- 4.000 Å, rel. 29
- 1.977 Å, rel. 28
- 1.616 Å, rel. 22
- 2.716 Å, rel. 21
- 3.955 Å, rel. 20
- 1.632 Å, rel. 18

Crystal structure
```
data_Pm2MgMoO6
_chemical_formula_sum 'Pm4 Mg2 Mo2 O12'
_cell_length_a 5.539
_cell_length_b 5.783
_cell_length_c 9.587
_cell_angle_alpha 90.00
_cell_angle_beta 124.41
_cell_angle_gamma 90.00
_space_group_name_H-M_alt 'P 1 21/c 1'
_space_group_IT_number 14
loop_
_space_group_symop_operation_xyz
'x,y,z'
'-x,-y,-z'
'-x,y+1/2,-z+1/2'
'x,-y+1/2,z+1/2'
loop_
_atom_site_label
_atom_site_fract_x
_atom_site_fract_y
_atom_site_fract_z
Pm1 0.226 0.061 0.247
Mg1 0.000 0.000 0.500
Mo1 0.500 0.000 0.000
O1 0.135 0.202 0.941
O2 0.249 0.707 0.942
O3 0.364 0.038 0.753
```